(1)
The following is a theoretical powder X-ray diffraction pattern of Cs3AlI6. It was derived from DFT lattice parameters and positions (GGA-PBE), using Cu Kα, 1.54184 Å.
No peak broadening, texture or thermal motion is included.

Atomic structure:
Lattice parameters (Å, degrees): 12.793 12.793 12.793 90.00 90.00 90.00
Space group Fm-3m (No. 225)
Inequivalent atoms, fractional coordinates:
Cs 0.000 0.000 0.000 [4 per cell]
Cs 0.250 0.250 0.250 [8 per cell]
Al 0.000 0.000 0.500 [4 per cell]
I 0.000 0.000 0.283 [24 per cell]

Most intense lines, 2θ from 10° to 90°, low angle first:
2θ (°)  I (rel.)  index
19.6  17  2 2 0
24.1  100  2 2 2
27.9  98  4 0 0
30.5  30  3 3 1
36.5  23  3 3 3
39.9  64  4 4 0
47.1  32  6 2 2
49.4  19  4 4 4
55.1  21  7 3 1
65.2  19  8 4 0

(2)
The following is a theoretical powder X-ray diffraction pattern of Cs2KAlI6. It was derived from DFT lattice parameters and positions (GGA-PBE), using Cu Kα, 1.54184 Å.
No peak broadening, texture or thermal motion is included.

Atomic structure:
Lattice parameters (Å, degrees): 12.382 12.382 12.382 90.00 90.00 90.00
Space group Fm-3m (No. 225)
Inequivalent atoms, fractional coordinates:
Cs 0.250 0.250 0.250 [8 per cell]
K 0.000 0.000 0.000 [4 per cell]
Al 0.000 0.000 0.500 [4 per cell]
I 0.000 0.000 0.275 [24 per cell]

Most intense lines, 2θ from 10° to 90°, low angle first:
2θ (°)  I (rel.)  index
24.9  100  2 2 2
28.8  67  4 0 0
37.8  12  3 3 3
41.2  45  4 4 0
48.8  38  6 2 2
51.1  14  4 4 4
65.7  12  6 6 2
67.7  16  8 4 0
75.2  10  8 4 4
80.2  10  7 7 3

(3)
The following is a theoretical powder X-ray diffraction pattern of CsK2AlI6. It was derived from DFT lattice parameters and positions (GGA-PBE), using Cu Kα, 1.54184 Å.
No peak broadening, texture or thermal motion is included.

Atomic structure:
Lattice parameters (Å, degrees): 12.704 12.704 12.704 90.00 90.00 90.00
Space group Fm-3m (No. 225)
Inequivalent atoms, fractional coordinates:
Cs 0.000 0.000 0.000 [4 per cell]
K 0.250 0.250 0.250 [8 per cell]
Al 0.000 0.000 0.500 [4 per cell]
I 0.000 0.000 0.282 [24 per cell]

Most intense lines, 2θ from 10° to 90°, low angle first:
2θ (°)  I (rel.)  index
13.9  74  2 0 0
24.3  88  2 2 2
28.1  100  4 0 0
30.7  42  3 3 1
31.5  26  4 2 0
36.8  31  3 3 3
40.2  63  4 4 0
47.5  25  6 2 2
55.6  29  7 3 1
77.8  22  7 7 3

(4)
The following is a theoretical powder X-ray diffraction pattern of CsRb2AlI6. It was derived from DFT lattice parameters and positions (GGA-PBE), using Cu Kα, 1.54184 Å.
No peak broadening, texture or thermal motion is included.

Atomic structure:
Lattice parameters (Å, degrees): 12.753 12.753 12.753 90.00 90.00 90.00
Space group Fm-3m (No. 225)
Inequivalent atoms, fractional coordinates:
Cs 0.000 0.000 0.000 [4 per cell]
Rb 0.250 0.250 0.250 [8 per cell]
Al 0.000 0.000 0.500 [4 per cell]
I 0.000 0.000 0.282 [24 per cell]

Most intense lines, 2θ from 10° to 90°, low angle first:
2θ (°)  I (rel.)  index
13.9  35  2 0 0
24.2  96  2 2 2
28.0  100  4 0 0
30.6  36  3 3 1
36.6  27  3 3 3
40.0  64  4 4 0
47.3  29  6 2 2
49.5  19  4 4 4
55.3  24  7 3 1
65.5  19  8 4 0

(5)
The following is a theoretical powder X-ray diffraction pattern of Cs2RbAlI6. It was derived from DFT lattice parameters and positions (GGA-PBE), using Cu Kα, 1.54184 Å.
No peak broadening, texture or thermal motion is included.

Atomic structure:
Lattice parameters (Å, degrees): 12.557 12.557 12.557 90.00 90.00 90.00
Space group Fm-3m (No. 225)
Inequivalent atoms, fractional coordinates:
Cs 0.250 0.250 0.250 [8 per cell]
Rb 0.000 0.000 0.000 [4 per cell]
Al 0.000 0.000 0.500 [4 per cell]
I 0.000 0.000 0.278 [24 per cell]

Most intense lines, 2θ from 10° to 90°, low angle first:
2θ (°)  I (rel.)  index
24.6  100  2 2 2
28.4  81  4 0 0
31.0  17  3 3 1
37.2  16  3 3 3
40.6  54  4 4 0
48.1  36  6 2 2
50.3  17  4 4 4
56.3  14  7 3 1
66.6  18  8 4 0
78.8  12  7 7 3

(6)
The following is a theoretical powder X-ray diffraction pattern of Cs6K3AlSb4. It was derived from DFT lattice parameters and positions (GGA-PBE), using Cu Kα, 1.54184 Å.
No peak broadening, texture or thermal motion is included.

Atomic structure:
Lattice parameters (Å, degrees): 11.1758 11.1758 11.7178 90.00 90.00 120.00
Space group P6_3/mmc (No. 194)
Inequivalent atoms, fractional coordinates:
Cs 0.2089 0.4178 0.0435 [12 per cell]
K 0.1195 0.2391 0.7500 [6 per cell]
Al 0.3333 0.6667 0.7500 [2 per cell]
Sb 0.0000 0.0000 0.0000 [2 per cell]
Sb 0.0556 0.5278 0.7500 [6 per cell]

Most intense lines, 2θ from 10° to 90°, low angle first:
2θ (°)  I (rel.)  index
23.8  25  2 0 2
24.3  22  2 1 0
24.6  21  1 0 3
28.8  100  2 1 2
29.4  13  2 0 3
32.0  14  2 2 0
47.1  20  3 2 3
48.0  19  3 0 5
48.9  12  3 3 0
49.6  18  5 0 2

(7)
The following is a theoretical powder X-ray diffraction pattern of CsMg14Al. It was derived from DFT lattice parameters and positions (GGA-PBE), using Cu Kα, 1.54184 Å.
No peak broadening, texture or thermal motion is included.

Atomic structure:
Lattice parameters (Å, degrees): 6.5057 6.5057 10.8144 90.00 90.00 120.00
Space group P-6m2 (No. 187)
Inequivalent atoms, fractional coordinates:
Cs 0.0000 0.0000 0.0000 [1 per cell]
Mg 0.0055 0.5027 0.0000 [3 per cell]
Mg 0.1700 0.3399 0.2702 [6 per cell]
Mg 0.5028 0.0057 0.5000 [3 per cell]
Mg 0.6667 0.3333 0.2449 [2 per cell]
Al 0.0000 0.0000 0.5000 [1 per cell]

Most intense lines, 2θ from 10° to 90°, low angle first:
2θ (°)  I (rel.)  index
15.7  20  1 0 0
17.8  28  1 0 1
22.8  20  1 0 2
31.8  26  2 0 0
33.1  26  0 0 4
35.9  100  2 0 2
46.6  17  2 0 4
56.6  17  2 2 0
61.0  19  2 0 6
67.2  19  2 2 4

(8)
The following is a theoretical powder X-ray diffraction pattern of CsMg14Al. It was derived from DFT lattice parameters and positions (GGA-PBE), using Cu Kα, 1.54184 Å.
No peak broadening, texture or thermal motion is included.

Atomic structure:
Lattice parameters (Å, degrees): 10.612 6.730 11.259 90.00 90.00 90.00
Space group Amm2 (No. 38)
Inequivalent atoms, fractional coordinates:
Cs 0.000 0.000 0.000 [2 per cell]
Mg 0.000 0.241 0.253 [4 per cell]
Mg 0.239 0.000 0.663 [4 per cell]
Mg 0.264 0.236 0.414 [8 per cell]
Mg 0.271 0.000 0.172 [4 per cell]
Mg 0.500 0.000 0.498 [2 per cell]
Mg 0.500 0.000 0.995 [2 per cell]
Mg 0.500 0.244 0.746 [4 per cell]
Al 0.000 0.000 0.478 [2 per cell]

Most intense lines, 2θ from 10° to 90°, low angle first:
2θ (°)  I (rel.)  index
17.5  27  1 1 1
22.8  20  2 1 1
31.0  26  0 2 2
33.8  36  4 0 0
35.4  100  2 2 2
36.1  45  2 0 4
46.5  16  4 2 2
56.1  16  0 2 6
61.5  17  6 2 2
67.2  31  4 2 6

What did the fifth record say?
The following is a theoretical powder X-ray diffraction pattern of Cs2RbAlI6. It was derived from DFT lattice parameters and positions (GGA-PBE), using Cu Kα, 1.54184 Å.
No peak broadening, texture or thermal motion is included.

Atomic structure:
Lattice parameters (Å, degrees): 12.557 12.557 12.557 90.00 90.00 90.00
Space group Fm-3m (No. 225)
Inequivalent atoms, fractional coordinates:
Cs 0.250 0.250 0.250 [8 per cell]
Rb 0.000 0.000 0.000 [4 per cell]
Al 0.000 0.000 0.500 [4 per cell]
I 0.000 0.000 0.278 [24 per cell]

Most intense lines, 2θ from 10° to 90°, low angle first:
2θ (°)  I (rel.)  index
24.6  100  2 2 2
28.4  81  4 0 0
31.0  17  3 3 1
37.2  16  3 3 3
40.6  54  4 4 0
48.1  36  6 2 2
50.3  17  4 4 4
56.3  14  7 3 1
66.6  18  8 4 0
78.8  12  7 7 3